This entry pairs a crystal structure of LiCoOF2 with its simulated powder X-ray diffraction pattern. Radiation: CuKα. Structure: a GGA+U-relaxed structure.
Neutral-atom scattering factors, no anomalous dispersion.

Atomic structure:
```
data_LiCoOF2
_chemical_formula_sum 'Li8 Co8 O8 F16'
_cell_length_a 10.9437
_cell_length_b 7.4635
_cell_length_c 6.1427
_cell_angle_alpha 90.00
_cell_angle_beta 111.50
_cell_angle_gamma 90.00
_symmetry_space_group_name_H-M 'C 1 2/c 1'
_symmetry_Int_Tables_number 15
loop_
_symmetry_equiv_pos_as_xyz
'x,y,z'
'-x,-y,-z'
'-x,y,-z+1/2'
'x,-y,z+1/2'
'x+1/2,y+1/2,z'
'-x+1/2,-y+1/2,-z'
'-x+1/2,y+1/2,-z+1/2'
'x+1/2,-y+1/2,z+1/2'
loop_
_atom_site_label
_atom_site_fract_x
_atom_site_fract_y
_atom_site_fract_z
_atom_site_occupancy
Li1 0.0000 0.0934 0.2500 1
Li2 0.0000 0.3077 0.7500 1
Co1 0.2325 0.4448 0.2685 1
O1 0.1485 0.4600 0.9370 1
F1 0.0871 0.1309 0.6325 1
F2 0.1694 0.1884 0.2561 1
```

Peak list (10 most intense, 2θ = 10–90°, by intensity)
2theta	I/Imax	h k l
17.4	100	2 0 0
29.7	55	2 0 -2
31.3	34	0 0 2
30.4	28	2 2 -1
23.8	26	0 2 0
28.6	17	0 2 1
45.2	16	4 2 -2
51.5	16	0 4 1
52.7	14	2 4 -1
43.0	14	5 1 -1